(1)
# Ce2SiTeO4
Simulated XRD peak list, Cu Kα, 1.54184 Å. Input: a DFT-relaxed cell (PBE, the Materials Project).
Lines closer than 0.1° are merged.

Atomic structure:
a b c (Å): 6.4111 7.2906 11.3150
angles (deg): 90.00 90.00 90.00
Positions (direct):
Ce (0.1101, 0.2500, 0.0000)
Ce (0.1101, 0.2500, 0.5000)
Ce (0.3878, 0.5392, 0.2500)
Ce (0.3878, 0.9608, 0.7500)
Ce (0.6122, 0.0392, 0.2500)
Ce (0.6122, 0.4608, 0.7500)
Ce (0.8899, 0.7500, 0.0000)
Ce (0.8899, 0.7500, 0.5000)
Si (0.3863, 0.7500, 0.0000)
Si (0.3863, 0.7500, 0.5000)
Si (0.6137, 0.2500, 0.0000)
Si (0.6137, 0.2500, 0.5000)
Te (0.0980, 0.5711, 0.7500)
Te (0.0980, 0.9289, 0.2500)
Te (0.9020, 0.0711, 0.7500)
Te (0.9020, 0.4289, 0.2500)
O (0.2324, 0.5781, 0.0359)
O (0.2324, 0.5781, 0.4641)
O (0.2324, 0.9219, 0.5359)
O (0.2324, 0.9219, 0.9641)
O (0.4533, 0.2296, 0.6150)
O (0.4533, 0.2296, 0.8850)
O (0.4533, 0.2704, 0.1150)
O (0.4533, 0.2704, 0.3850)
O (0.5467, 0.7296, 0.6150)
O (0.5467, 0.7296, 0.8850)
O (0.5467, 0.7704, 0.1150)
O (0.5467, 0.7704, 0.3850)
O (0.7676, 0.0781, 0.0359)
O (0.7676, 0.0781, 0.4641)
O (0.7676, 0.4219, 0.5359)
O (0.7676, 0.4219, 0.9641)

Top 10 peaks for 10 to 90 degrees two-theta, most intense first:
| 2θ/deg | d (Å) | Rel. int. |
| --- | --- | --- |
| 29.14 | 3.064 | 100 |
| 31.50 | 2.840 | 74 |
| 31.63 | 2.829 | 56 |
| 38.89 | 2.316 | 42 |
| 34.43 | 2.605 | 32 |
| 24.28 | 3.667 | 29 |
| 54.81 | 1.675 | 24 |
| 29.27 | 3.051 | 24 |
| 67.09 | 1.395 | 20 |
| 39.66 | 2.272 | 20 |

***

(2)
# K4SnTe2Se2
Simulated XRD peak list, Cu Kα, 1.54184 Å. Input: a DFT-relaxed cell (PBE, the Materials Project).
Lines closer than 0.1° are merged.

Atomic structure:
a b c (Å): 15.2458 10.8345 8.5655
angles (deg): 90.00 90.00 90.00
Positions (direct):
K (0.0000, 0.0000, 0.0000)
K (0.0000, 0.5000, 0.0000)
K (0.0649, 0.2500, 0.4818)
K (0.2287, 0.5368, 0.6449)
K (0.2287, 0.9632, 0.6449)
K (0.2713, 0.0368, 0.1449)
K (0.2713, 0.4632, 0.1449)
K (0.4351, 0.7500, 0.9818)
K (0.5000, 0.0000, 0.5000)
K (0.5000, 0.5000, 0.5000)
K (0.5649, 0.2500, 0.0182)
K (0.7287, 0.5368, 0.8551)
K (0.7287, 0.9632, 0.8551)
K (0.7713, 0.0368, 0.3551)
K (0.7713, 0.4632, 0.3551)
K (0.9351, 0.7500, 0.5182)
Sn (0.1617, 0.7500, 0.2626)
Sn (0.3383, 0.2500, 0.7626)
Sn (0.6617, 0.7500, 0.2374)
Sn (0.8383, 0.2500, 0.7374)
Te (0.1648, 0.2500, 0.8732)
Te (0.1659, 0.7500, 0.9360)
Te (0.3341, 0.2500, 0.4360)
Te (0.3352, 0.7500, 0.3732)
Te (0.6648, 0.2500, 0.6268)
Te (0.6659, 0.7500, 0.5640)
Te (0.8341, 0.2500, 0.0640)
Te (0.8352, 0.7500, 0.1268)
Se (0.0842, 0.5550, 0.3555)
Se (0.0842, 0.9450, 0.3555)
Se (0.4158, 0.0550, 0.8555)
Se (0.4158, 0.4450, 0.8555)
Se (0.5842, 0.5550, 0.1445)
Se (0.5842, 0.9450, 0.1445)
Se (0.9158, 0.0550, 0.6445)
Se (0.9158, 0.4450, 0.6445)

Top 10 peaks for 10 to 90 degrees two-theta, most intense first:
| 2θ/deg | d (Å) | Rel. int. |
| --- | --- | --- |
| 13.18 | 6.719 | 100 |
| 26.20 | 3.402 | 86 |
| 27.20 | 3.279 | 85 |
| 39.15 | 2.301 | 56 |
| 33.07 | 2.709 | 47 |
| 37.51 | 2.398 | 44 |
| 14.21 | 6.234 | 42 |
| 20.29 | 4.377 | 40 |
| 21.55 | 4.123 | 40 |
| 32.97 | 2.717 | 37 |

***

(3)
# YErAl4
Simulated XRD peak list, Cu Kα, 1.54184 Å. Input: a DFT-relaxed cell (PBE, the Materials Project).
Lines closer than 0.1° are merged.

Atomic structure:
a b c (Å): 5.5499 5.5499 5.5499
angles (deg): 60.00 60.00 60.00
Positions (direct):
Y (0.0000, 0.0000, 0.0000)
Er (0.7500, 0.7500, 0.7500)
Al (0.3751, 0.3751, 0.3751)
Al (0.3751, 0.3751, 0.8748)
Al (0.3751, 0.8748, 0.3751)
Al (0.8748, 0.3751, 0.3751)

Top 10 peaks for 10 to 90 degrees two-theta, most intense first:
| 2θ/deg | d (Å) | Rel. int. |
| --- | --- | --- |
| 38.02 | 2.366 | 100 |
| 32.26 | 2.775 | 88 |
| 19.59 | 4.531 | 56 |
| 57.53 | 1.602 | 34 |
| 61.38 | 1.510 | 33 |
| 67.51 | 1.387 | 21 |
| 50.70 | 1.801 | 14 |
| 76.81 | 1.241 | 14 |
| 80.19 | 1.197 | 11 |
| 71.05 | 1.327 | 11 |